# 1
Theoretical powder XRD pattern of Ag8H for Cu Kα, from the PBE geometry in Alexandria.
Peak positions follow from Bragg's law for the DFT cell and can differ from measured ones.

Most intense lines, 10 to 80 degrees two-theta, in order of rising 2θ:
- d 2.558, intensity 23.8, hkl 2 0 0
- d 2.426, intensity 27.3, hkl 0 0 2
- d 2.263, intensity 100.0, hkl 2 0 1
- d 1.760, intensity 14.9, hkl 0 2 2
- d 1.477, intensity 16.1, hkl 2 2 0
- d 1.367, intensity 18.5, hkl 2 0 3
- d 1.279, intensity 2.4, hkl 4 0 0
- d 1.262, intensity 18.7, hkl 2 2 2
- d 1.237, intensity 13.2, hkl 0 4 1
- d 1.213, intensity 2.8, hkl 0 0 4

Atomic structure:
Unit cell a=5.9078 b=5.9078 c=4.8524 alpha=90.00 beta=90.00 gamma=120.00
Space group P-3m1 (No. 164)
Unique sites:
Ag1 0.1696 0.3391 0.2488 (multiplicity 6)
Ag2 0.3333 0.6667 0.7550 (multiplicity 2)
H1 0.0000 0.0000 0.5000 (multiplicity 1)

***

# 2
Theoretical powder XRD pattern of Li2Tb3Hg2 for Cu Kα, from the PBE geometry in Alexandria.
Peak positions follow from Bragg's law for the DFT cell and can differ from measured ones.

Most intense lines, 10 to 80 degrees two-theta, in order of rising 2θ:
- d 4.731, intensity 49.1, hkl 0 1 1
- d 3.276, intensity 20.3, hkl 0 0 6
- d 3.060, intensity 17.5, hkl 0 1 5
- d 2.891, intensity 46.6, hkl 1 1 0
- d 2.773, intensity 63.0, hkl 1 1 2
- d 2.651, intensity 49.9, hkl 1 0 5
- d 2.492, intensity 42.4, hkl 1 1 4
- d 2.434, intensity 100.0, hkl 0 2 0
- d 1.795, intensity 47.0, hkl 2 0 0
- d 1.445, intensity 44.5, hkl 2 2 0

Atomic structure:
Unit cell a=3.591 b=4.874 c=19.654 alpha=90.00 beta=90.00 gamma=90.00
Space group Immm (No. 71)
Unique sites:
Li1 0.000 0.000 0.067 (multiplicity 4)
Tb1 0.000 0.000 0.500 (multiplicity 2)
Tb2 0.000 0.500 0.301 (multiplicity 4)
Hg1 0.000 0.500 0.137 (multiplicity 4)

***

# 3
Theoretical powder XRD pattern of Cs3CeAg2Br9 for Cu Kα, from the PBE geometry in Alexandria.
Peak positions follow from Bragg's law for the DFT cell and can differ from measured ones.

Most intense lines, 10 to 80 degrees two-theta, in order of rising 2θ:
- d 5.712, intensity 16.8, hkl 1 0 1
- d 4.053, intensity 26.7, hkl 0 1 2
- d 4.025, intensity 29.1, hkl 1 1 0
- d 3.290, intensity 40.3, hkl 0 2 1
- d 2.856, intensity 100.0, hkl 2 0 2
- d 2.327, intensity 19.1, hkl 3 0 0
- d 2.026, intensity 31.3, hkl 0 2 4
- d 2.013, intensity 37.5, hkl 2 2 0
- d 1.645, intensity 18.6, hkl 0 4 2
- d 1.274, intensity 15.9, hkl 4 2 2

Atomic structure:
Unit cell a=8.0507 b=8.0507 c=9.9620 alpha=90.00 beta=90.00 gamma=120.00
Space group P-3m1 (No. 164)
Unique sites:
Cs1 0.0000 0.0000 0.0000 (multiplicity 1)
Cs2 0.3333 0.6667 0.7054 (multiplicity 2)
Ce1 0.0000 0.0000 0.5000 (multiplicity 1)
Ag1 0.3333 0.6667 0.1468 (multiplicity 2)
Br1 0.0000 0.5000 0.0000 (multiplicity 3)
Br2 0.1658 0.3315 0.3376 (multiplicity 6)

***

# 4
Theoretical powder XRD pattern of Ca2CoReN4 for Cu Kα, from the PBE geometry in Alexandria.
Peak positions follow from Bragg's law for the DFT cell and can differ from measured ones.

Most intense lines, 10 to 80 degrees two-theta, in order of rising 2θ:
- d 4.434, intensity 29.1, hkl 1 1 0
- d 4.348, intensity 29.0, hkl 1 0 1
- d 4.050, intensity 52.1, hkl 0 1 1
- d 3.418, intensity 14.2, hkl 2 0 0
- d 2.913, intensity 29.2, hkl 0 2 0
- d 2.817, intensity 36.3, hkl 0 0 2
- d 2.612, intensity 100.0, hkl 2 1 1
- d 2.025, intensity 27.5, hkl 0 2 2
- d 1.617, intensity 19.1, hkl 2 3 1
- d 1.584, intensity 21.5, hkl 2 1 3

Atomic structure:
Unit cell a=6.836 b=5.826 c=5.635 alpha=90.00 beta=90.00 gamma=90.00
Space group Pmn2_1 (No. 31)
Unique sites:
Ca1 0.250 0.237 0.000 (multiplicity 4)
Co1 0.000 0.220 0.480 (multiplicity 2)
Re1 0.000 0.790 0.982 (multiplicity 2)
N1 0.000 0.016 0.750 (multiplicity 2)
N2 0.000 0.966 0.256 (multiplicity 2)
N3 0.240 0.639 0.955 (multiplicity 4)

***

# 5
Theoretical powder XRD pattern of ZnPdAu3 for Cu Kα, from the PBE geometry in Alexandria.
Peak positions follow from Bragg's law for the DFT cell and can differ from measured ones.

Most intense lines, 10 to 80 degrees two-theta, in order of rising 2θ:
- d 3.897, intensity 18.9, hkl 1 1 1
- d 2.361, intensity 51.7, hkl 1 1 3
- d 2.354, intensity 51.5, hkl 1 1 -2
- d 2.334, intensity 100.0, hkl 2 0 1
- d 2.085, intensity 36.5, hkl -1 1 2
- d 2.023, intensity 32.4, hkl 2 2 1
- d 1.990, intensity 30.8, hkl 1 -1 3
- d 1.418, intensity 20.0, hkl 1 3 -2
- d 1.211, intensity 12.0, hkl 0 2 -5
- d 1.202, intensity 11.6, hkl 1 -3 3

Atomic structure:
Unit cell a=4.950 b=4.960 c=7.613 alpha=82.16 beta=72.45 gamma=70.52
Space group P-1 (No. 2)
Unique sites:
Zn1 0.157 0.248 0.194 (multiplicity 2)
Pd1 0.364 0.233 0.809 (multiplicity 2)
Au1 0.047 0.755 0.394 (multiplicity 2)
Au2 0.237 0.736 0.999 (multiplicity 2)
Au3 0.453 0.745 0.604 (multiplicity 2)

***

# 6
Theoretical powder XRD pattern of La2TlBiO5 for Cu Kα, from the PBE geometry in Alexandria.
Peak positions follow from Bragg's law for the DFT cell and can differ from measured ones.

Most intense lines, 10 to 80 degrees two-theta, in order of rising 2θ:
- d 3.520, intensity 12.1, hkl 2 0 0
- d 3.288, intensity 36.4, hkl 0 0 2
- d 3.103, intensity 100.0, hkl 2 0 1
- d 2.840, intensity 17.6, hkl 2 1 1
- d 2.489, intensity 25.0, hkl 2 2 0
- d 2.274, intensity 15.6, hkl 2 1 2
- d 1.984, intensity 25.2, hkl 2 2 2
- d 1.861, intensity 23.3, hkl 2 0 3
- d 1.420, intensity 12.6, hkl 4 2 2
- d 1.372, intensity 13.3, hkl 2 2 4

Atomic structure:
Unit cell a=7.039 b=7.039 c=6.576 alpha=90.00 beta=90.00 gamma=90.00
Space group P4/mbm (No. 127)
Unique sites:
La1 0.179 0.321 0.000 (multiplicity 4)
Tl1 0.000 0.000 0.500 (multiplicity 2)
Bi1 0.000 0.500 0.500 (multiplicity 2)
O1 0.000 0.000 0.000 (multiplicity 2)
O2 0.143 0.643 0.231 (multiplicity 8)

***

# 7
Theoretical powder XRD pattern of Y2Ge4Pd5 for Cu Kα, from the PBE geometry in Alexandria.
Peak positions follow from Bragg's law for the DFT cell and can differ from measured ones.

Most intense lines, 10 to 80 degrees two-theta, in order of rising 2θ:
- d 4.840, intensity 16.3, hkl 0 2 0
- d 4.655, intensity 15.2, hkl 1 1 1
- d 2.982, intensity 34.4, hkl 0 2 4
- d 2.449, intensity 100.0, hkl 2 2 0
- d 2.269, intensity 56.6, hkl 2 0 4
- d 2.055, intensity 40.7, hkl 2 2 4
- d 2.039, intensity 25.5, hkl 0 4 4
- d 1.893, intensity 24.1, hkl 0 0 8
- d 1.497, intensity 17.7, hkl 2 2 8
- d 1.402, intensity 16.6, hkl 2 6 0

Atomic structure:
Unit cell a=5.668 b=9.681 c=15.143 alpha=90.00 beta=90.00 gamma=90.00
Space group Fmmm (No. 69)
Unique sites:
Y1 0.000 0.000 0.138 (multiplicity 8)
Ge1 0.000 0.146 0.367 (multiplicity 16)
Pd1 0.000 0.000 0.500 (multiplicity 4)
Pd2 0.250 0.250 0.000 (multiplicity 8)
Pd3 0.250 0.250 0.250 (multiplicity 8)

***

# 8
Theoretical powder XRD pattern of Ce3Cu2Ni7 for Cu Kα, from the PBE geometry in Alexandria.
Peak positions follow from Bragg's law for the DFT cell and can differ from measured ones.

Most intense lines, 10 to 80 degrees two-theta, in order of rising 2θ:
- d 2.734, intensity 44.1, hkl 1 0 7
- d 2.508, intensity 81.6, hkl 1 1 0
- d 2.162, intensity 35.8, hkl 0 2 1
- d 2.139, intensity 100.0, hkl 1 1 6
- d 2.053, intensity 13.7, hkl 0 0 12
- d 1.988, intensity 32.3, hkl 2 0 5
- d 1.487, intensity 12.6, hkl 2 1 7
- d 1.447, intensity 20.7, hkl 3 0 0
- d 1.364, intensity 21.5, hkl 3 0 6
- d 1.253, intensity 21.2, hkl 2 2 0

Atomic structure:
Unit cell a=5.0115 b=5.0115 c=24.6310 alpha=90.00 beta=90.00 gamma=120.00
Space group R-3m (No. 166, hexagonal axes)
Unique sites:
Ce1 0.0000 0.0000 0.0000 (multiplicity 3)
Ce2 0.0000 0.0000 0.1398 (multiplicity 6)
Cu1 0.0000 0.0000 0.3326 (multiplicity 6)
Ni1 0.0000 0.0000 0.5000 (multiplicity 3)
Ni2 0.0017 0.5009 0.0827 (multiplicity 18)

***

Please write out number 4 again, unchanged.
Theoretical powder XRD pattern of Ca2CoReN4 for Cu Kα, from the PBE geometry in Alexandria.
Peak positions follow from Bragg's law for the DFT cell and can differ from measured ones.

Most intense lines, 10 to 80 degrees two-theta, in order of rising 2θ:
- d 4.434, intensity 29.1, hkl 1 1 0
- d 4.348, intensity 29.0, hkl 1 0 1
- d 4.050, intensity 52.1, hkl 0 1 1
- d 3.418, intensity 14.2, hkl 2 0 0
- d 2.913, intensity 29.2, hkl 0 2 0
- d 2.817, intensity 36.3, hkl 0 0 2
- d 2.612, intensity 100.0, hkl 2 1 1
- d 2.025, intensity 27.5, hkl 0 2 2
- d 1.617, intensity 19.1, hkl 2 3 1
- d 1.584, intensity 21.5, hkl 2 1 3

Atomic structure:
Unit cell a=6.836 b=5.826 c=5.635 alpha=90.00 beta=90.00 gamma=90.00
Space group Pmn2_1 (No. 31)
Unique sites:
Ca1 0.250 0.237 0.000 (multiplicity 4)
Co1 0.000 0.220 0.480 (multiplicity 2)
Re1 0.000 0.790 0.982 (multiplicity 2)
N1 0.000 0.016 0.750 (multiplicity 2)
N2 0.000 0.966 0.256 (multiplicity 2)
N3 0.240 0.639 0.955 (multiplicity 4)

***

Please write out number 4 again, unchanged.
Theoretical powder XRD pattern of Ca2CoReN4 for Cu Kα, from the PBE geometry in Alexandria.
Peak positions follow from Bragg's law for the DFT cell and can differ from measured ones.

Most intense lines, 10 to 80 degrees two-theta, in order of rising 2θ:
- d 4.434, intensity 29.1, hkl 1 1 0
- d 4.348, intensity 29.0, hkl 1 0 1
- d 4.050, intensity 52.1, hkl 0 1 1
- d 3.418, intensity 14.2, hkl 2 0 0
- d 2.913, intensity 29.2, hkl 0 2 0
- d 2.817, intensity 36.3, hkl 0 0 2
- d 2.612, intensity 100.0, hkl 2 1 1
- d 2.025, intensity 27.5, hkl 0 2 2
- d 1.617, intensity 19.1, hkl 2 3 1
- d 1.584, intensity 21.5, hkl 2 1 3

Atomic structure:
Unit cell a=6.836 b=5.826 c=5.635 alpha=90.00 beta=90.00 gamma=90.00
Space group Pmn2_1 (No. 31)
Unique sites:
Ca1 0.250 0.237 0.000 (multiplicity 4)
Co1 0.000 0.220 0.480 (multiplicity 2)
Re1 0.000 0.790 0.982 (multiplicity 2)
N1 0.000 0.016 0.750 (multiplicity 2)
N2 0.000 0.966 0.256 (multiplicity 2)
N3 0.240 0.639 0.955 (multiplicity 4)